# 1
This entry pairs a crystal structure of KCaTbFeO6 with its computed PXRD pattern. Radiation: λ = 1.5418 Å (Cu Kα). Structure: DFT lattice parameters and positions (GGA+U).
Lines closer than 0.1° are merged.

Structure:
a = 5.7651 Å, b = 5.7651 Å, c = 5.7651 Å
α = 60.00°, β = 60.00°, γ = 60.00°
Fractional positions:
K 0.0000 0.0000 0.0000
Ca 0.5000 0.5000 0.5000
Tb 0.2500 0.2500 0.2500
Fe 0.7500 0.7500 0.7500
O 0.5211 0.5211 0.9789
O 0.5211 0.9789 0.5211
O 0.5211 0.9789 0.9789
O 0.9789 0.5211 0.5211
O 0.9789 0.5211 0.9789
O 0.9789 0.9789 0.5211

Most intense lines, 2θ from 10° to 90°, by angle:
2θ (°), d [Å], I/Imax
18.85, 4.707, 21
21.80, 4.077, 48
31.02, 2.883, 100
36.55, 2.458, 19
44.45, 2.038, 38
48.68, 1.870, 11
50.03, 1.823, 19
55.19, 1.664, 37
64.67, 1.441, 21
73.46, 1.289, 17



# 2
This entry pairs a crystal structure of CaLa2Mn2Fe2O12 with its computed PXRD pattern. Radiation: λ = 1.5418 Å (Cu Kα). Structure: DFT lattice parameters and positions (GGA+U).
Lines closer than 0.1° are merged.

Structure:
a = 5.4522 Å, b = 5.4803 Å, c = 7.7161 Å
α = 89.81°, β = 89.94°, γ = 89.73°
Fractional positions:
Ca 0.0000 0.0000 0.0000
La 0.4970 0.4946 0.0006
La 0.9577 0.9936 0.4991
Mn 0.4733 0.9987 0.2536
Mn 0.9791 0.4959 0.7461
Fe 0.4734 0.0009 0.7446
Fe 0.9819 0.4959 0.2550
O 0.1864 0.7828 0.7343
O 0.1925 0.7858 0.2647
O 0.2393 0.2679 0.7942
O 0.2424 0.2602 0.2071
O 0.4739 0.0542 0.4966
O 0.4758 0.9411 0.0018
O 0.7058 0.7355 0.2759
O 0.7141 0.7318 0.7248
O 0.7508 0.2184 0.2159
O 0.7562 0.2243 0.7844
O 0.9617 0.5598 0.9978
O 0.9842 0.4422 0.5026

Most intense lines, 2θ from 10° to 90°, by angle:
2θ (°), d [Å], I/Imax
19.89, 4.464, 60
19.95, 4.451, 20
32.69, 2.739, 49
32.84, 2.728, 100
38.64, 2.330, 23
38.74, 2.324, 15
46.90, 1.937, 19
47.13, 1.929, 36
58.43, 1.579, 20
58.59, 1.576, 20



# 3
This entry pairs a crystal structure of Ca3LaFe2Mo2O12 with its computed PXRD pattern. Radiation: λ = 1.5418 Å (Cu Kα). Structure: DFT lattice parameters and positions (GGA+U).
Lines closer than 0.1° are merged.

Structure:
a = 5.4831 Å, b = 5.6579 Å, c = 9.8954 Å
α = 99.48°, β = 95.55°, γ = 91.60°
Fractional positions:
Ca 0.0000 0.0000 0.0000
Ca 0.1561 0.0677 0.5759
Ca 0.5031 0.5000 0.0382
La 0.6245 0.5784 0.4817
Fe 0.0180 0.6019 0.2407
Fe 0.4728 0.9168 0.8245
Mo 0.5728 0.0318 0.2694
Mo 0.9663 0.4346 0.8469
O 0.0827 0.4181 0.0623
O 0.1963 0.1494 0.8214
O 0.2394 0.6994 0.8963
O 0.3670 0.7245 0.2650
O 0.4310 0.1835 0.4250
O 0.4657 0.8447 0.6352
O 0.7001 0.2009 0.8953
O 0.7333 0.6930 0.8892
O 0.7432 0.3439 0.2485
O 0.8004 0.8409 0.1689
O 0.9152 0.3978 0.6560
O 0.9608 0.7594 0.4263

Most intense lines, 2θ from 10° to 90°, by angle:
2θ (°), d [Å], I/Imax
18.28, 4.854, 33
19.48, 4.558, 44
23.32, 3.814, 36
23.41, 3.800, 47
28.31, 3.152, 100
29.63, 3.015, 70
32.45, 2.759, 45
32.82, 2.729, 64
45.49, 1.994, 38
46.80, 1.941, 71



# 4
This entry pairs a crystal structure of NaCaLaFeO6 with its computed PXRD pattern. Radiation: λ = 1.5418 Å (Cu Kα). Structure: DFT lattice parameters and positions (GGA+U).
Lines closer than 0.1° are merged.

Structure:
a = 5.7005 Å, b = 5.7005 Å, c = 5.7005 Å
α = 60.00°, β = 60.00°, γ = 60.00°
Fractional positions:
Na 0.0000 0.0000 0.0000
Ca 0.2500 0.2500 0.2500
La 0.5000 0.5000 0.5000
Fe 0.7500 0.7500 0.7500
O 0.5212 0.5212 0.9788
O 0.5212 0.9788 0.5212
O 0.5212 0.9788 0.9788
O 0.9788 0.5212 0.5212
O 0.9788 0.5212 0.9788
O 0.9788 0.9788 0.5212

Most intense lines, 2θ from 10° to 90°, by angle:
2θ (°), d [Å], I/Imax
19.07, 4.654, 57
31.39, 2.850, 100
36.98, 2.431, 30
38.69, 2.327, 17
44.98, 2.015, 41
49.27, 1.849, 13
55.87, 1.646, 37
59.59, 1.551, 11
65.50, 1.425, 23
74.43, 1.275, 17



# 5
This entry pairs a crystal structure of CaLaFeNiO6 with its computed PXRD pattern. Radiation: λ = 1.5418 Å (Cu Kα). Structure: DFT lattice parameters and positions (GGA+U).
Lines closer than 0.1° are merged.

Structure:
a = 5.4588 Å, b = 5.4744 Å, c = 9.4357 Å
α = 90.00°, β = 125.19°, γ = 90.00°
Fractional positions:
Ca 0.0000 0.2090 0.0000
Ca 0.0000 0.7910 0.5000
La 0.5144 0.2789 0.4995
La 0.5144 0.7211 0.9995
Fe 0.7588 0.2496 0.2493
Fe 0.7588 0.7504 0.7493
Ni 0.2596 0.2516 0.7504
Ni 0.2596 0.7484 0.2504
O 0.0725 0.2332 0.4949
O 0.0725 0.7668 0.9949
O 0.4360 0.2633 0.0047
O 0.4360 0.7367 0.5047
O 0.5214 0.0334 0.2860
O 0.5214 0.9666 0.7860
O 0.5926 0.4706 0.7915
O 0.5926 0.5294 0.2915
O 0.9361 0.0260 0.7121
O 0.9361 0.9740 0.2121
O 0.9972 0.4595 0.2087
O 0.9972 0.5405 0.7087

Most intense lines, 2θ from 10° to 90°, by angle:
2θ (°), d [Å], I/Imax
19.91, 4.460, 42
32.77, 2.733, 100
32.84, 2.727, 51
38.63, 2.331, 16
38.71, 2.326, 12
47.02, 1.933, 32
47.14, 1.928, 17
58.48, 1.578, 28
58.59, 1.576, 28
68.73, 1.366, 12



# 6
This entry pairs a crystal structure of CaLaFeNiO6 with its computed PXRD pattern. Radiation: λ = 1.5418 Å (Cu Kα). Structure: DFT lattice parameters and positions (GGA+U).
Lines closer than 0.1° are merged.

Structure:
a = 5.4667 Å, b = 5.4876 Å, c = 7.7081 Å
α = 89.70°, β = 89.77°, γ = 89.99°
Fractional positions:
Ca 0.0000 0.0000 0.0000
Ca 0.4949 0.4143 0.4964
La 0.4836 0.4885 0.0006
La 0.9785 0.9249 0.4966
Fe 0.4869 0.9574 0.7491
Fe 0.9874 0.4565 0.2489
Ni 0.4868 0.9559 0.2477
Ni 0.9882 0.4577 0.7477
O 0.0640 0.4703 0.4921
O 0.1954 0.7354 0.2070
O 0.2114 0.7557 0.7937
O 0.2604 0.2416 0.2133
O 0.2840 0.2308 0.7915
O 0.4105 0.9787 0.5100
O 0.5745 0.9402 0.9864
O 0.6840 0.6791 0.7025
O 0.7088 0.6659 0.2881
O 0.7584 0.1650 0.7071
O 0.7728 0.1824 0.2849
O 0.9208 0.4401 0.0044

Most intense lines, 2θ from 10° to 90°, by angle:
2θ (°), d [Å], I/Imax
19.87, 4.469, 41
32.65, 2.742, 65
32.78, 2.732, 100
32.89, 2.723, 34
38.60, 2.332, 15
46.92, 1.936, 42
47.16, 1.927, 22
58.40, 1.580, 27
58.51, 1.577, 21
68.71, 1.366, 16